# 1
The following is a calculated PXRD pattern of SmPbS3. It was derived from a crystal structure in Alexandria, relaxed with PBE, using Cu Kα, 1.54184 Å.
Kinematic intensities with the Lorentz-polarization factor, no thermal factor.

Structural model:
abc: 8.880 8.880 7.814
angles: 95.46 95.46 28.04
Element x y z (fractional)
Sm: 0.159 0.159 0.359
Sm: 0.841 0.841 0.641
Pb: 0.401 0.401 0.093
Pb: 0.599 0.599 0.907
S: 0.186 0.186 0.007
S: 0.321 0.321 0.409
S: 0.446 0.446 0.749
S: 0.554 0.554 0.251
S: 0.679 0.679 0.591
S: 0.814 0.814 0.993

Main lines, by angle (10 to 80 degrees two-theta):
2θ/deg  I/Imax
20.72  463
24.19  437
24.45  1000
26.08  266
27.75  198
33.41  262
36.26  402
40.53  265
42.00  223
45.02  302



# 2
The following is a calculated PXRD pattern of SnTePb4S4. It was derived from a crystal structure in Alexandria, relaxed with PBE, using Cu Kα, 1.54184 Å.
Kinematic intensities with the Lorentz-polarization factor, no thermal factor.

Structural model:
abc: 17.732 17.732 17.732
angles: 13.91 13.91 13.91
Element x y z (fractional)
Sn: 0.000 0.000 0.000
Te: 0.296 0.296 0.296
Pb: 0.192 0.192 0.192
Pb: 0.396 0.396 0.396
Pb: 0.590 0.590 0.590
Pb: 0.794 0.794 0.794
S: 0.095 0.095 0.095
S: 0.493 0.493 0.493
S: 0.697 0.697 0.697
S: 0.891 0.891 0.891

Main lines, by angle (10 to 80 degrees two-theta):
2θ/deg  I/Imax
25.39  600
27.55  49
29.40  1000
42.07  739
49.78  299
52.16  256
61.01  116
67.21  70
69.16  315
76.91  190